[1]
For Li2In3Ag7, a structure optimized by DFT (PBE) gives the theoretical powder X-ray diffraction pattern in this record (Cu Kα, 1.54184 Å).

Structure:
Cell lengths 9.427, 9.427, 9.427 Å; angles 34.59, 34.59, 34.59 degrees
Fractional coordinates of all 12 atoms:
Li (0.166, 0.166, 0.166)
Li (0.834, 0.834, 0.834)
In (0.363, 0.363, 0.363)
In (0.500, 0.500, 0.500)
In (0.637, 0.637, 0.637)
Ag (0.000, 0.000, 0.000)
Ag (0.084, 0.084, 0.577)
Ag (0.084, 0.577, 0.084)
Ag (0.423, 0.916, 0.916)
Ag (0.577, 0.084, 0.084)
Ag (0.916, 0.423, 0.916)
Ag (0.916, 0.916, 0.423)

Main lines, by intensity (2θ from 10° to 90°):
two_theta, I (rel.)
38.00, 100
37.20, 92
32.68, 75
40.88, 56
29.89, 54
37.68, 47
66.76, 37
20.06, 31
57.38, 25
62.09, 25

[2]
For La12PuTl3, a structure optimized by DFT (PBE) gives the theoretical powder X-ray diffraction pattern in this record (Cu Kα, 1.54184 Å).

Structure:
Cell lengths 5.064, 5.064, 20.444 Å; angles 90.00, 90.00, 90.00 degrees
Fractional coordinates of all 16 atoms:
La (0.000, 0.000, 0.000)
La (0.000, 0.000, 0.249)
La (0.000, 0.000, 0.500)
La (0.000, 0.000, 0.751)
La (0.000, 0.500, 0.124)
La (0.000, 0.500, 0.375)
La (0.000, 0.500, 0.625)
La (0.000, 0.500, 0.876)
La (0.500, 0.000, 0.124)
La (0.500, 0.000, 0.375)
La (0.500, 0.000, 0.625)
La (0.500, 0.000, 0.876)
Pu (0.500, 0.500, 0.000)
Tl (0.500, 0.500, 0.251)
Tl (0.500, 0.500, 0.500)
Tl (0.500, 0.500, 0.749)

Main lines, by intensity (2θ from 10° to 90°):
two_theta, I (rel.)
30.48, 100
35.46, 34
60.60, 29
50.76, 24
35.12, 17
60.15, 15
63.44, 12
51.01, 12
82.71, 12
83.11, 6

[3]
For Li2CoNi, a structure optimized by DFT (PBE) gives the theoretical powder X-ray diffraction pattern in this record (Cu Kα, 1.54184 Å).

Structure:
Cell lengths 4.363, 4.363, 2.457 Å; angles 90.00, 90.00, 90.00 degrees
Fractional coordinates of all 4 atoms:
Li (0.000, 0.500, 0.000)
Li (0.500, 0.000, 0.000)
Co (0.000, 0.000, 0.500)
Ni (0.500, 0.500, 0.500)

Main lines, by intensity (2θ from 10° to 90°):
two_theta, I (rel.)
28.94, 100
47.30, 68
41.39, 51
56.41, 27
36.57, 26
79.71, 26
59.97, 16
67.95, 15
72.33, 12
84.99, 8

[4]
For Zr6ReTc5, a structure optimized by DFT (PBE) gives the theoretical powder X-ray diffraction pattern in this record (Cu Kα, 1.54184 Å).

Structure:
Cell lengths 4.663, 6.594, 7.373 Å; angles 90.00, 108.52, 90.00 degrees
Fractional coordinates of all 12 atoms:
Zr (0.000, 0.249, 0.000)
Zr (0.000, 0.751, 0.000)
Zr (0.333, 0.250, 0.666)
Zr (0.333, 0.750, 0.666)
Zr (0.667, 0.250, 0.334)
Zr (0.667, 0.750, 0.334)
Re (0.500, 0.500, 0.000)
Tc (0.166, 0.500, 0.332)
Tc (0.167, 0.000, 0.334)
Tc (0.500, 0.000, 0.000)
Tc (0.833, 0.000, 0.666)
Tc (0.834, 0.500, 0.668)

Main lines, by intensity (2θ from 10° to 90°):
two_theta, I (rel.)
38.63, 100
69.90, 34
55.77, 17
82.82, 11
27.05, 1
12.66, 1
24.23, 1
18.50, 1
13.43, 1
20.07, 1

- What is the formula in the first record?
  Li2In3Ag7

Repeat the first record exactly.
For Li2In3Ag7, a structure optimized by DFT (PBE) gives the theoretical powder X-ray diffraction pattern in this record (Cu Kα, 1.54184 Å).

Structure:
Cell lengths 9.427, 9.427, 9.427 Å; angles 34.59, 34.59, 34.59 degrees
Fractional coordinates of all 12 atoms:
Li (0.166, 0.166, 0.166)
Li (0.834, 0.834, 0.834)
In (0.363, 0.363, 0.363)
In (0.500, 0.500, 0.500)
In (0.637, 0.637, 0.637)
Ag (0.000, 0.000, 0.000)
Ag (0.084, 0.084, 0.577)
Ag (0.084, 0.577, 0.084)
Ag (0.423, 0.916, 0.916)
Ag (0.577, 0.084, 0.084)
Ag (0.916, 0.423, 0.916)
Ag (0.916, 0.916, 0.423)

Main lines, by intensity (2θ from 10° to 90°):
two_theta, I (rel.)
38.00, 100
37.20, 92
32.68, 75
40.88, 56
29.89, 54
37.68, 47
66.76, 37
20.06, 31
57.38, 25
62.09, 25